Entry 1:
The following is a theoretical powder diffraction line list of Mg2In2Pb5. It was derived from a crystal structure in Alexandria, relaxed with GGA-PBE, using Cu Kα X-rays.
Intensities are scaled so that the largest is 100.

Largest 12 diffraction maxima, sorted by position, 5 to 70 degrees two-theta:
| 2θ (°) | I_rel |
| --- | --- |
| 11.90 | 20 |
| 26.94 | 23 |
| 31.63 | 71 |
| 31.76 | 70 |
| 32.14 | 68 |
| 32.45 | 66 |
| 36.21 | 100 |
| 38.86 | 40 |
| 51.33 | 21 |
| 52.94 | 17 |
| 61.98 | 20 |
| 63.23 | 20 |

```
Mg2In2Pb5
1.0
4.966 0.000 0.000
2.413 6.951 0.000
0.190 2.349 7.438
Mg In Pb
2 2 5
direct
0.220 0.063 0.332
0.780 0.937 0.668
0.432 0.635 0.657
0.568 0.365 0.343
0.000 0.500 0.000
0.116 0.266 0.656
0.339 0.827 0.010
0.661 0.173 0.990
0.884 0.734 0.344
```


Entry 2:
The following is a theoretical powder diffraction line list of Y2TaOs2. It was derived from a crystal structure in Alexandria, relaxed with GGA-PBE, using Cu Kα X-rays.
Intensities are scaled so that the largest is 100.

Largest 12 diffraction maxima, sorted by position, 5 to 70 degrees two-theta:
| 2θ (°) | I_rel |
| --- | --- |
| 18.84 | 50 |
| 29.52 | 10 |
| 32.59 | 31 |
| 35.25 | 100 |
| 38.21 | 35 |
| 42.24 | 39 |
| 46.63 | 26 |
| 48.52 | 10 |
| 52.49 | 10 |
| 58.26 | 30 |
| 63.37 | 9 |
| 67.16 | 15 |

```
Y2TaOs2
1.0
6.765 0.000 0.000
0.000 6.765 0.000
0.000 0.000 4.711
Y Ta Os
4 2 4
direct
0.179 0.321 0.000
0.321 0.821 0.000
0.679 0.179 0.000
0.821 0.679 0.000
0.000 0.000 0.500
0.500 0.500 0.500
0.128 0.628 0.500
0.372 0.128 0.500
0.628 0.872 0.500
0.872 0.372 0.500
```


Entry 3:
The following is a theoretical powder diffraction line list of TmBe6Au6. It was derived from a crystal structure in Alexandria, relaxed with GGA-PBE, using Cu Kα X-rays.
Intensities are scaled so that the largest is 100.

Largest 12 diffraction maxima, sorted by position, 5 to 70 degrees two-theta:
| 2θ (°) | I_rel |
| --- | --- |
| 20.82 | 60 |
| 29.24 | 18 |
| 29.62 | 32 |
| 33.11 | 19 |
| 35.87 | 100 |
| 36.83 | 47 |
| 41.84 | 42 |
| 42.18 | 30 |
| 42.69 | 20 |
| 47.69 | 20 |
| 56.69 | 18 |
| 65.70 | 26 |

```
TmBe6Au6
1.0
-2.440 4.267 4.374
2.440 -4.267 4.374
2.440 4.267 -4.374
Tm Be Au
1 6 6
direct
0.000 0.000 0.000
0.000 0.000 0.500
0.000 0.500 0.000
0.239 0.500 0.739
0.500 0.000 0.000
0.500 0.500 0.500
0.761 0.500 0.261
0.177 0.677 0.500
0.331 0.000 0.331
0.341 0.341 0.000
0.659 0.659 0.000
0.669 0.000 0.669
0.823 0.323 0.500
```


What did the first record say?
The following is a theoretical powder diffraction line list of Mg2In2Pb5. It was derived from a crystal structure in Alexandria, relaxed with GGA-PBE, using Cu Kα X-rays.
Intensities are scaled so that the largest is 100.

Largest 12 diffraction maxima, sorted by position, 5 to 70 degrees two-theta:
| 2θ (°) | I_rel |
| --- | --- |
| 11.90 | 20 |
| 26.94 | 23 |
| 31.63 | 71 |
| 31.76 | 70 |
| 32.14 | 68 |
| 32.45 | 66 |
| 36.21 | 100 |
| 38.86 | 40 |
| 51.33 | 21 |
| 52.94 | 17 |
| 61.98 | 20 |
| 63.23 | 20 |

```
Mg2In2Pb5
1.0
4.966 0.000 0.000
2.413 6.951 0.000
0.190 2.349 7.438
Mg In Pb
2 2 5
direct
0.220 0.063 0.332
0.780 0.937 0.668
0.432 0.635 0.657
0.568 0.365 0.343
0.000 0.500 0.000
0.116 0.266 0.656
0.339 0.827 0.010
0.661 0.173 0.990
0.884 0.734 0.344
```